Calculated powder diffraction line list
Compound: K4W
Radiation: Cu Kα X-rays
Structure: a DFT-relaxed cell (PBE, Alexandria)
Kinematic intensities with the Lorentz-polarization factor, no thermal factor.

Structure:
Lattice parameters (Å, degrees): 8.505 8.505 8.505 90.00 90.00 90.00
Space group Im-3m (No. 229)
Symmetry-distinct sites (fractional):
K  0.250  0.250  0.250 x8
W  0.000  0.000  0.000 x2

The 10 most intense peaks (10 to 90 degrees two-theta), in order of falling intensity:
index, 2θ/deg, Rel. int.
1 1 0, 14.73, 100.0
2 2 0, 29.71, 70.3
2 1 1, 25.66, 55.1
3 2 1, 39.65, 35.4
3 1 0, 33.31, 28.3
4 2 2, 52.72, 26.1
5 1 0, 55.06, 20.7
4 1 1, 45.23, 18.3
4 0 0, 42.52, 12.6
6 4 2, 85.42, 12.5

---

Calculated powder diffraction line list
Compound: KZrW
Radiation: Cu Kα X-rays
Structure: a DFT-relaxed cell (PBE, Alexandria)
Kinematic intensities with the Lorentz-polarization factor, no thermal factor.

Structure:
Lattice parameters (Å, degrees): 3.376 4.939 17.506 90.00 90.00 90.00
Space group Fmm2 (No. 42)
Symmetry-distinct sites (fractional):
K  0.000  0.000  0.000 x4
Zr  0.000  0.000  0.703 x4
W  0.000  0.000  0.326 x4

The 10 most intense peaks (10 to 90 degrees two-theta), in order of falling intensity:
index, 2θ/deg, Rel. int.
0 0 2, 10.11, 100.0
1 1 3, 35.70, 63.3
1 1 5, 41.41, 25.0
0 2 0, 36.38, 17.2
0 0 6, 30.64, 15.5
1 3 3, 65.02, 10.7
1 1 1, 32.53, 9.2
0 2 2, 37.85, 9.2
0 2 6, 48.28, 8.6
1 1 7, 48.93, 7.6

---

Calculated powder diffraction line list
Compound: K2ZrW
Radiation: Cu Kα X-rays
Structure: a DFT-relaxed cell (PBE, Alexandria)
Kinematic intensities with the Lorentz-polarization factor, no thermal factor.

Structure:
Lattice parameters (Å, degrees): 3.750 5.237 12.414 90.00 90.00 90.00
Space group Cmm2 (No. 35)
Symmetry-distinct sites (fractional):
K  0.000  0.000  0.000 x2
K  0.000  0.500  0.336 x2
Zr  0.000  0.500  0.722 x2
W  0.000  0.000  0.571 x2

The 10 most intense peaks (10 to 90 degrees two-theta), in order of falling intensity:
index, 2θ/deg, Rel. int.
1 1 2, 32.73, 100.0
1 1 3, 36.61, 61.7
0 0 2, 14.27, 41.2
0 2 0, 34.25, 31.3
1 1 4, 41.52, 25.8
1 1 5, 47.21, 23.5
1 3 2, 60.37, 21.9
0 2 1, 35.02, 20.4
0 0 3, 21.47, 13.3
0 0 5, 36.18, 13.0

---

Calculated powder diffraction line list
Compound: K5Y4
Radiation: Cu Kα X-rays
Structure: a DFT-relaxed cell (PBE, Alexandria)
Kinematic intensities with the Lorentz-polarization factor, no thermal factor.

Structure:
Lattice parameters (Å, degrees): 11.7141 11.7141 7.4000 90.00 90.00 120.00
Space group P6_3/mcm (No. 193)
Symmetry-distinct sites (fractional):
K  0.0000  0.3797  0.2500 x6
K  0.3333  0.6667  0.0000 x4
Y  0.0000  0.0000  0.0000 x2
Y  0.0000  0.2229  0.7500 x6

The 10 most intense peaks (10 to 90 degrees two-theta), in order of falling intensity:
index, 2θ/deg, Rel. int.
2 1 1, 26.18, 100.0
1 1 2, 28.53, 55.0
3 0 0, 26.36, 30.4
2 2 2, 39.23, 26.1
2 1 3, 43.63, 23.8
2 1 2, 33.66, 23.5
4 1 0, 40.76, 20.7
2 2 1, 32.89, 17.3
3 3 1, 48.22, 15.5
5 0 0, 44.66, 13.8